Theoretical PXRD pattern of Ce3I7Br for λ = 1.5418 Å (Cu Kα), from a DFT-relaxed cell (GGA-PBE, Alexandria).

Structure:
```
Ce3I7Br
1.0
9.159 0.000 0.000
-4.580 7.932 0.000
0.000 0.000 7.475
Ce I Br
3 7 1
direct
0.003 0.501 0.000
0.499 0.501 0.000
0.499 0.997 0.000
0.170 0.341 0.758
0.170 0.830 0.758
0.340 0.170 0.238
0.659 0.830 0.758
0.667 0.333 0.750
0.830 0.170 0.238
0.830 0.660 0.238
0.333 0.667 0.210
```

The 10 most intense peaks (2θ = 10–80°), in order of falling intensity:
| d_spacing | intensity |
| --- | --- |
| 3.504 | 100.0 |
| 2.720 | 49.4 |
| 2.290 | 35.2 |
| 2.110 | 28.1 |
| 7.475 | 27.8 |
| 1.917 | 19.0 |
| 1.470 | 15.6 |
| 1.448 | 14.9 |
| 1.752 | 13.1 |
| 1.391 | 12.1 |


Theoretical PXRD pattern of CeY3Zn4 for λ = 1.5418 Å (Cu Kα), from a DFT-relaxed cell (GGA-PBE, Alexandria).

Structure:
```
CeY3Zn4
1.0
2.544 1.469 8.276
-2.544 1.469 8.276
0.000 -2.937 8.276
Ce Y Zn
1 3 4
direct
0.000 0.000 0.000
0.251 0.251 0.251
0.500 0.500 0.500
0.749 0.749 0.749
0.125 0.125 0.125
0.376 0.376 0.376
0.624 0.624 0.624
0.875 0.875 0.875
```

The 10 most intense peaks (2θ = 10–80°), in order of falling intensity:
| d_spacing | intensity |
| --- | --- |
| 2.541 | 100.0 |
| 1.468 | 26.0 |
| 1.796 | 17.3 |
| 1.464 | 8.5 |
| 1.272 | 5.3 |
| 1.269 | 5.2 |
| 3.593 | 4.2 |
| 8.276 | 1.2 |
| 4.149 | 1.1 |
| 2.076 | 0.9 |


Theoretical PXRD pattern of Pa2Co3B for λ = 1.5418 Å (Cu Kα), from a DFT-relaxed cell (GGA-PBE, Alexandria).

Structure:
```
Pa2Co3B
1.0
0.000 4.141 6.320
3.500 0.000 6.320
3.500 4.141 0.000
Pa Co B
4 6 2
direct
0.245 0.755 0.755
0.250 0.250 0.250
0.750 0.750 0.750
0.755 0.245 0.245
0.161 0.161 0.839
0.192 0.615 0.385
0.385 0.808 0.192
0.615 0.192 0.808
0.808 0.385 0.615
0.839 0.839 0.161
0.324 0.324 0.676
0.676 0.676 0.324
```

The 10 most intense peaks (2θ = 10–80°), in order of falling intensity:
| d_spacing | intensity |
| --- | --- |
| 2.462 | 100.0 |
| 3.464 | 64.5 |
| 2.346 | 55.2 |
| 1.878 | 31.2 |
| 1.552 | 26.8 |
| 2.070 | 19.5 |
| 1.280 | 17.5 |
| 3.160 | 17.5 |
| 3.500 | 14.4 |
| 1.562 | 13.9 |


Please write out number 2 again, unchanged.
Theoretical PXRD pattern of CeY3Zn4 for λ = 1.5418 Å (Cu Kα), from a DFT-relaxed cell (GGA-PBE, Alexandria).

Structure:
```
CeY3Zn4
1.0
2.544 1.469 8.276
-2.544 1.469 8.276
0.000 -2.937 8.276
Ce Y Zn
1 3 4
direct
0.000 0.000 0.000
0.251 0.251 0.251
0.500 0.500 0.500
0.749 0.749 0.749
0.125 0.125 0.125
0.376 0.376 0.376
0.624 0.624 0.624
0.875 0.875 0.875
```

The 10 most intense peaks (2θ = 10–80°), in order of falling intensity:
| d_spacing | intensity |
| --- | --- |
| 2.541 | 100.0 |
| 1.468 | 26.0 |
| 1.796 | 17.3 |
| 1.464 | 8.5 |
| 1.272 | 5.3 |
| 1.269 | 5.2 |
| 3.593 | 4.2 |
| 8.276 | 1.2 |
| 4.149 | 1.1 |
| 2.076 | 0.9 |